Computed powder diffractogram
Compound: Zn4Sb3
Radiation: Cu Kα X-rays
Structure: a crystal structure in OQMD, relaxed with GGA-PBE
Neutral-atom scattering factors, no anomalous dispersion.

Main lines, in order of rising 2θ (10 to 90 degrees two-theta):
index  two_theta  d [Å]  intensity
2 0 1  30.51  2.930  16
2 1 0  32.75  2.734  29
0 0 2  35.93  2.500  35
2 1 1  37.49  2.399  100
2 1 2  49.40  1.845  18
2 1 3  65.61  1.423  18

Atomic structure:
```
data_Zn4Sb3
_chemical_formula_sum 'Zn8 Sb6'
_cell_length_a 8.3530
_cell_length_b 8.3530
_cell_length_c 4.9991
_cell_angle_alpha 90.00
_cell_angle_beta 90.00
_cell_angle_gamma 120.00
_space_group_name_H-M_alt 'P 63/m'
_space_group_IT_number 176
_space_group_name_Hall '-P 6c'
loop_
_atom_site_label
_atom_site_fract_x
_atom_site_fract_y
_atom_site_fract_z
Zn1 0.1238 0.5008 0.2500
Zn2 0.3333 0.6667 0.7500
Sb1 0.0748 0.2967 0.7500
```

***

Computed powder diffractogram
Compound: GdScNb2Ge2
Radiation: Cu Kα X-rays
Structure: a crystal structure in OQMD, relaxed with GGA-PBE
Neutral-atom scattering factors, no anomalous dispersion.

Main lines, in order of rising 2θ (10 to 90 degrees two-theta):
index  two_theta  d [Å]  intensity
0 0 1  11.44  7.735  31
1 0 2  32.23  2.778  38
1 1 1  33.81  2.651  100
1 1 2  39.53  2.280  95
1 0 3  41.70  2.166  34
2 0 0  45.45  1.996  59

Atomic structure:
```
data_GdScNb2Ge2
_chemical_formula_sum 'Gd1 Sc1 Nb2 Ge2'
_cell_length_a 3.991
_cell_length_b 3.991
_cell_length_c 7.735
_cell_angle_alpha 90.00
_cell_angle_beta 90.00
_cell_angle_gamma 90.00
_space_group_name_H-M_alt 'P 4 m m'
_space_group_IT_number 99
loop_
_space_group_symop_operation_xyz
'x,y,z'
'-y,x,z'
'-x,-y,z'
'y,-x,z'
'-x,y,z'
'y,x,z'
'x,-y,z'
'-y,-x,z'
loop_
_atom_site_label
_atom_site_fract_x
_atom_site_fract_y
_atom_site_fract_z
Gd1 0.000 0.000 0.000
Sc1 0.500 0.500 0.294
Nb1 0.000 0.500 0.637
Ge1 0.000 0.000 0.386
Ge2 0.500 0.500 0.889
```

***

Number 2 is which compound?
GdScNb2Ge2